No. 1
Diffraction record for KFe3Te5. The powder diffractogram is computed, not measured: it uses a crystal structure in OQMD, relaxed with GGA-PBE and CuKα.
Neutral-atom scattering factors, no anomalous dispersion.

Atomic structure:
Cell: 5.8250 5.8250 8.0359 Å, 90.00 90.00 120.00°
Sites, in units of the cell vectors:
1 K 0.0000 0.0000 0.0000
2 Fe 0.0000 0.5000 0.5000
3 Fe 0.5000 0.0000 0.5000
4 Fe 0.5000 0.5000 0.5000
5 Te 0.0000 0.0000 0.5000
6 Te 0.3333 0.6667 0.2580
7 Te 0.3333 0.6667 0.7420
8 Te 0.6667 0.3333 0.2580
9 Te 0.6667 0.3333 0.7420

Most intense lines, 15° ≤ 2θ ≤ 90°, low angle first:
17.6 deg, rel. 21.9, hkl 1 0 0; 28.4 deg, rel. 84.2, hkl 1 0 2; 30.7 deg, rel. 100.0, hkl 1 1 0; 38.2 deg, rel. 46.1, hkl 1 1 2; 42.3 deg, rel. 78.4, hkl 2 0 2; 53.2 deg, rel. 28.7, hkl 2 1 2; 55.6 deg, rel. 35.5, hkl 1 1 4; 63.9 deg, rel. 22.5, hkl 2 2 0



No. 2
Diffraction record for Nd4Te3N2. The powder diffractogram is computed, not measured: it uses a crystal structure in OQMD, relaxed with GGA-PBE and CuKα.
Neutral-atom scattering factors, no anomalous dispersion.

Atomic structure:
Cell: 7.3929 11.7329 11.3884 Å, 90.00 90.00 90.00°
Sites, in units of the cell vectors:
1 Nd 0.0908 0.2500 0.1596
2 Nd 0.1455 0.0499 0.8899
3 Nd 0.1455 0.4501 0.8899
4 Nd 0.2290 0.2500 0.5310
5 Nd 0.2710 0.7500 0.0310
6 Nd 0.3545 0.5499 0.3899
7 Nd 0.3545 0.9501 0.3899
8 Nd 0.4092 0.7500 0.6596
9 Nd 0.5908 0.2500 0.3404
10 Nd 0.6455 0.0499 0.6101
11 Nd 0.6455 0.4501 0.6101
12 Nd 0.7290 0.2500 0.9690
13 Nd 0.7710 0.7500 0.4690
14 Nd 0.8545 0.5499 0.1101
15 Nd 0.8545 0.9501 0.1101
16 Nd 0.9092 0.7500 0.8404
17 Te 0.0660 0.5787 0.6352
18 Te 0.0660 0.9213 0.6352
19 Te 0.0826 0.7500 0.2744
20 Te 0.4174 0.2500 0.7744
21 Te 0.4340 0.0787 0.1352
22 Te 0.4340 0.4213 0.1352
23 Te 0.5660 0.5787 0.8648
24 Te 0.5660 0.9213 0.8648
25 Te 0.5826 0.7500 0.2256
26 Te 0.9174 0.2500 0.7256
27 Te 0.9340 0.0787 0.3648
28 Te 0.9340 0.4213 0.3648
29 N 0.0531 0.6219 0.9673
30 N 0.0531 0.8781 0.9673
31 N 0.4469 0.1219 0.4673
32 N 0.4469 0.3781 0.4673
33 N 0.5531 0.6219 0.5327
34 N 0.5531 0.8781 0.5327
35 N 0.9469 0.1219 0.0327
36 N 0.9469 0.3781 0.0327

Most intense lines, 15° ≤ 2θ ≤ 90°, low angle first:
24.9 deg, rel. 35.1, hkl 1 2 2; 27.0 deg, rel. 44.2, hkl 1 3 1; 27.5 deg, rel. 45.8, hkl 1 1 3; 29.6 deg, rel. 75.8, hkl 2 2 1; 30.2 deg, rel. 100.0, hkl 1 3 2; 33.8 deg, rel. 30.1, hkl 2 0 3; 35.0 deg, rel. 28.4, hkl 0 2 4; 59.6 deg, rel. 21.8, hkl 2 3 6



No. 3
Diffraction record for Be2Co2Si2NiIr. The powder diffractogram is computed, not measured: it uses a crystal structure in OQMD, relaxed with GGA-PBE and CuKα.
Neutral-atom scattering factors, no anomalous dispersion.

Atomic structure:
Cell: 3.9000 3.9000 5.4488 Å, 90.00 90.00 90.00°
Sites, in units of the cell vectors:
1 Be 0.0000 0.5000 0.2377
2 Be 0.5000 0.0000 0.7623
3 Co 0.0000 0.0000 0.5000
4 Co 0.5000 0.5000 0.0000
5 Si 0.0000 0.5000 0.7622
6 Si 0.5000 0.0000 0.2378
7 Ni 0.0000 0.0000 0.0000
8 Ir 0.5000 0.5000 0.5000

Most intense lines, 15° ≤ 2θ ≤ 90°, low angle first:
22.8 deg, rel. 25.5, hkl 1 0 0; 28.1 deg, rel. 38.0, hkl 1 0 1; 32.5 deg, rel. 67.8, hkl 1 1 0; 32.9 deg, rel. 33.0, hkl 0 0 2; 46.6 deg, rel. 51.2, hkl 2 0 0; 46.9 deg, rel. 100.0, hkl 1 1 2; 58.2 deg, rel. 25.1, hkl 2 0 2; 86.7 deg, rel. 33.2, hkl 3 1 2